Computed PXRD pattern of K2LiScF6 for a wavelength of 1.5418 Å, from DFT lattice parameters and positions (PBE).

Most intense lines, 2θ from 10° to 80°, sorted by position:
| Position (°2θ) | I_rel |
| --- | --- |
| 18.5 | 432 |
| 30.5 | 808 |
| 35.9 | 180 |
| 37.6 | 781 |
| 43.7 | 1000 |
| 54.2 | 286 |
| 57.8 | 65 |
| 63.5 | 530 |
| 72.1 | 121 |
| 76.2 | 172 |

Structure:
a = 8.290 Å, b = 8.290 Å, c = 8.290 Å
α = 90.00°, β = 90.00°, γ = 90.00°
Space group Fm-3m (No. 225)
Unique sites:
K 0.250 0.250 0.250 (multiplicity 8)
Li 0.000 0.000 0.000 (multiplicity 4)
Sc 0.000 0.000 0.500 (multiplicity 4)
F 0.000 0.000 0.254 (multiplicity 24)